# 1
For CuClF10, a crystal structure in the Materials Project, relaxed with PBE gives the computed X-ray powder pattern in this record (CuKα).
Peak positions follow from Bragg's law for the DFT cell and can differ from measured ones.

Top 10 peaks for 2θ = 15–90°, in order of falling intensity:
21.2 deg, d 4.183, rel. 100, hkl 1 1 -1; 24.4 deg, d 3.653, rel. 97, hkl 1 1 1; 18.9 deg, d 4.689, rel. 70, hkl 0 2 0; 24.0 deg, d 3.712, rel. 44, hkl 0 0 2; 34.5 deg, d 2.598, rel. 21, hkl 1 3 -1; 44.2 deg, d 2.050, rel. 19, hkl 1 1 3; 43.3 deg, d 2.090, rel. 18, hkl 2 2 -2; 30.7 deg, d 2.910, rel. 18, hkl 0 2 2; 55.5 deg, d 1.655, rel. 18, hkl 2 4 -2; 47.7 deg, d 1.905, rel. 17, hkl 1 3 -3

Crystal structure
```
CuClF10
1.0
5.311 0.000 0.000
0.000 9.378 0.000
-1.302 0.000 7.424
Cu Cl F
2 2 20
Direct
0.000 0.000 0.000
0.000 0.500 0.500
0.500 0.000 0.500
0.500 0.500 0.000
0.104 0.150 0.894
0.104 0.350 0.394
0.234 0.604 0.423
0.234 0.896 0.923
0.267 0.610 0.037
0.267 0.890 0.537
0.314 0.059 0.310
0.314 0.441 0.810
0.383 0.127 0.618
0.383 0.373 0.118
0.617 0.627 0.882
0.617 0.873 0.382
0.686 0.559 0.190
0.686 0.941 0.690
0.733 0.110 0.463
0.733 0.390 0.963
0.766 0.104 0.077
0.766 0.396 0.577
0.896 0.650 0.606
0.896 0.850 0.106
```


# 2
For PaSnRu2, a crystal structure in the Materials Project, relaxed with PBE gives the computed X-ray powder pattern in this record (CuKα).
Peak positions follow from Bragg's law for the DFT cell and can differ from measured ones.

Top 10 peaks for 2θ = 15–90°, in order of falling intensity:
37.9 deg, d 2.375, rel. 100, hkl 2 2 0; 68.4 deg, d 1.371, rel. 36, hkl 4 2 2; 54.6 deg, d 1.680, rel. 17, hkl 4 0 0; 80.9 deg, d 1.188, rel. 11, hkl 4 4 0; 22.9 deg, d 3.879, rel. 8, hkl 1 1 1; 26.5 deg, d 3.359, rel. 8, hkl 2 0 0; 44.7 deg, d 2.026, rel. 4, hkl 3 1 1; 61.8 deg, d 1.502, rel. 4, hkl 4 2 0; 46.8 deg, d 1.939, rel. 3, hkl 2 2 2; 87.0 deg, d 1.120, rel. 2, hkl 6 0 0

Crystal structure
```
PaSnRu2
1.0
6.718 0.000 0.000
0.000 6.718 0.000
0.000 0.000 6.718
Pa Sn Ru
4 4 8
Direct
0.000 0.000 0.000
0.000 0.500 0.500
0.500 0.000 0.500
0.500 0.500 0.000
0.000 0.000 0.500
0.000 0.500 0.000
0.500 0.000 0.000
0.500 0.500 0.500
0.250 0.250 0.250
0.250 0.250 0.750
0.250 0.750 0.250
0.250 0.750 0.750
0.750 0.250 0.250
0.750 0.250 0.750
0.750 0.750 0.250
0.750 0.750 0.750
```


# 3
For Tb2IrPd, a crystal structure in the Materials Project, relaxed with PBE gives the computed X-ray powder pattern in this record (CuKα).
Peak positions follow from Bragg's law for the DFT cell and can differ from measured ones.

Top 10 peaks for 2θ = 15–90°, in order of falling intensity:
36.5 deg, d 2.461, rel. 100, hkl 2 2 0; 65.7 deg, d 1.421, rel. 36, hkl 4 2 2; 52.6 deg, d 1.740, rel. 18, hkl 4 0 0; 88.9 deg, d 1.101, rel. 17, hkl 6 2 0; 77.6 deg, d 1.231, rel. 11, hkl 4 4 0; 22.1 deg, d 4.019, rel. 4, hkl 1 1 1; 43.1 deg, d 2.099, rel. 2, hkl 3 1 1; 57.7 deg, d 1.597, rel. 1, hkl 3 3 1; 81.9 deg, d 1.177, rel. 1, hkl 5 3 1; 70.3 deg, d 1.340, rel. 1, hkl 5 1 1

Crystal structure
```
Tb2IrPd
1.0
6.961 0.000 0.000
0.000 6.961 0.000
0.000 0.000 6.961
Tb Ir Pd
8 4 4
Direct
0.250 0.250 0.250
0.250 0.250 0.750
0.250 0.750 0.250
0.250 0.750 0.750
0.750 0.250 0.250
0.750 0.250 0.750
0.750 0.750 0.250
0.750 0.750 0.750
0.000 0.000 0.000
0.000 0.500 0.500
0.500 0.000 0.500
0.500 0.500 0.000
0.000 0.000 0.500
0.000 0.500 0.000
0.500 0.000 0.000
0.500 0.500 0.500
```


# 4
For Pb2O, a crystal structure in the Materials Project, relaxed with PBE gives the computed X-ray powder pattern in this record (CuKα).
Peak positions follow from Bragg's law for the DFT cell and can differ from measured ones.

Top 10 peaks for 2θ = 15–90°, in order of falling intensity:
28.2 deg, d 3.159, rel. 100, hkl 1 1 1; 32.7 deg, d 2.736, rel. 47, hkl 2 0 0; 55.7 deg, d 1.650, rel. 47, hkl 3 1 1; 47.0 deg, d 1.935, rel. 42, hkl 2 2 0; 75.8 deg, d 1.255, rel. 20, hkl 3 3 1; 78.1 deg, d 1.224, rel. 17, hkl 4 2 0; 87.3 deg, d 1.117, rel. 15, hkl 4 2 2; 58.4 deg, d 1.580, rel. 13, hkl 2 2 2; 68.6 deg, d 1.368, rel. 7, hkl 4 0 0; 23.0 deg, d 3.870, rel. 1, hkl 1 1 0

Crystal structure
```
Pb2O
1.0
5.472 0.000 0.000
0.000 5.472 0.000
0.000 0.000 5.472
Pb O
4 2
Direct
0.000 0.000 0.000
0.000 0.500 0.500
0.500 0.000 0.500
0.500 0.500 0.000
0.250 0.250 0.250
0.750 0.750 0.750
```


# 5
For ZrI4, a crystal structure in the Materials Project, relaxed with PBE gives the computed X-ray powder pattern in this record (CuKα).
Peak positions follow from Bragg's law for the DFT cell and can differ from measured ones.

Top 10 peaks for 2θ = 15–90°, in order of falling intensity:
25.6 deg, d 3.484, rel. 100, hkl 2 -1 1; 25.4 deg, d 3.504, rel. 67, hkl 1 2 1; 31.6 deg, d 2.832, rel. 67, hkl 2 2 0; 21.1 deg, d 4.218, rel. 62, hkl 0 0 4; 15.1 deg, d 5.881, rel. 59, hkl 0 1 -2; 25.1 deg, d 3.549, rel. 49, hkl 2 1 -1; 27.2 deg, d 3.273, rel. 49, hkl 1 1 4; 24.1 deg, d 3.691, rel. 47, hkl 0 2 -2; 23.7 deg, d 3.748, rel. 44, hkl 2 0 -2; 26.1 deg, d 3.411, rel. 44, hkl -1 2 2

Crystal structure
```
ZrI4
1.0
8.032 0.000 0.000
-0.154 8.183 0.000
-1.540 -0.110 16.871
Zr I
4 16
Direct
0.116 0.339 0.193
0.365 0.624 0.391
0.635 0.376 0.609
0.884 0.661 0.807
0.028 0.398 0.881
0.063 0.773 0.369
0.169 0.850 0.800
0.187 0.289 0.362
0.280 0.155 0.093
0.327 0.583 0.559
0.430 0.557 0.228
0.437 0.102 0.606
0.563 0.898 0.394
0.570 0.443 0.772
0.673 0.417 0.441
0.720 0.845 0.907
0.813 0.711 0.638
0.831 0.150 0.200
0.937 0.227 0.631
0.972 0.602 0.119
```


# 6
For CaYHg2, a crystal structure in the Materials Project, relaxed with PBE gives the computed X-ray powder pattern in this record (CuKα).
Peak positions follow from Bragg's law for the DFT cell and can differ from measured ones.

Top 10 peaks for 2θ = 15–90°, in order of falling intensity:
33.8 deg, d 2.653, rel. 100, hkl 2 2 0; 60.4 deg, d 1.532, rel. 37, hkl 4 2 2; 23.7 deg, d 3.752, rel. 29, hkl 2 0 0; 48.5 deg, d 1.876, rel. 18, hkl 4 0 0; 81.0 deg, d 1.186, rel. 16, hkl 6 2 0; 54.7 deg, d 1.678, rel. 14, hkl 4 2 0; 71.1 deg, d 1.326, rel. 12, hkl 4 4 0; 41.7 deg, d 2.166, rel. 10, hkl 2 2 2; 76.1 deg, d 1.251, rel. 7, hkl 6 0 0; 85.9 deg, d 1.131, rel. 4, hkl 6 2 2

Crystal structure
```
CaYHg2
1.0
7.504 0.000 0.000
0.000 7.504 0.000
0.000 0.000 7.504
Ca Y Hg
4 4 8
Direct
0.000 0.000 0.000
0.000 0.500 0.500
0.500 0.000 0.500
0.500 0.500 0.000
0.000 0.000 0.500
0.000 0.500 0.000
0.500 0.000 0.000
0.500 0.500 0.500
0.250 0.250 0.250
0.250 0.250 0.750
0.250 0.750 0.250
0.250 0.750 0.750
0.750 0.250 0.250
0.750 0.250 0.750
0.750 0.750 0.250
0.750 0.750 0.750
```


# 7
For MgCu4As4S4, a crystal structure in the Materials Project, relaxed with PBE gives the computed X-ray powder pattern in this record (CuKα).
Peak positions follow from Bragg's law for the DFT cell and can differ from measured ones.

Top 10 peaks for 2θ = 15–90°, in order of falling intensity:
28.3 deg, d 3.155, rel. 100, hkl 0 1 -3; 28.8 deg, d 3.099, rel. 90, hkl 1 -1 0; 28.6 deg, d 3.124, rel. 85, hkl 1 1 0; 47.7 deg, d 1.906, rel. 77, hkl 1 -2 3; 25.7 deg, d 3.467, rel. 63, hkl 0 1 3; 48.8 deg, d 1.865, rel. 47, hkl 2 0 0; 44.8 deg, d 2.024, rel. 31, hkl -1 2 3; 44.6 deg, d 2.033, rel. 28, hkl 0 0 6; 44.1 deg, d 2.054, rel. 28, hkl 1 2 3; 31.9 deg, d 2.802, rel. 21, hkl 0 1 4

Crystal structure
```
MgCu4As4S4
1.0
3.730 0.000 0.000
0.058 5.671 0.000
0.188 1.221 12.200
Mg Cu As S
1 4 4 4
Direct
0.000 0.000 0.000
0.479 0.201 0.667
0.483 0.928 0.207
0.983 0.723 0.532
0.990 0.485 0.052
0.467 0.903 0.823
0.485 0.174 0.357
0.973 0.608 0.845
0.982 0.474 0.377
0.480 0.964 0.527
0.494 0.235 0.070
0.975 0.429 0.670
0.986 0.698 0.201
```